[1]
For Tl9CdSb2, a crystal structure in Alexandria, relaxed with GGA-PBE gives the computed X-ray diffraction stick pattern in this record (Cu Kα (λ = 1.5418 Å)).
Peak positions follow from Bragg's law for the DFT cell and can differ from measured ones.

Most intense lines, 15° ≤ 2θ ≤ 90°, sorted by position:
| Position (°2θ) | Rel. int. |
| --- | --- |
| 31.2 | 100 |
| 36.1 | 34 |
| 36.3 | 16 |
| 52.0 | 12 |
| 52.2 | 24 |
| 61.9 | 29 |
| 62.2 | 13 |
| 65.1 | 12 |
| 85.0 | 6 |
| 85.3 | 11 |

```
12
Lattice="4.976 0.000 0.000 0.000 4.976 0.000 0.000 0.000 14.831" Properties=species:S:1:pos:R:3 pbc="T T T"
Tl 0.000 0.000 0.000
Tl 0.000 0.000 5.032
Tl 0.000 0.000 9.799
Tl 0.000 2.488 2.556
Tl 0.000 2.488 7.415
Tl 0.000 2.488 12.275
Tl 2.488 0.000 2.556
Tl 2.488 0.000 7.415
Tl 2.488 0.000 12.275
Cd 2.488 2.488 0.000
Sb 2.488 2.488 4.872
Sb 2.488 2.488 9.958
```

[2]
For Na2CdSn, a crystal structure in Alexandria, relaxed with GGA-PBE gives the computed X-ray diffraction stick pattern in this record (Cu Kα (λ = 1.5418 Å)).
Peak positions follow from Bragg's law for the DFT cell and can differ from measured ones.

Most intense lines, 15° ≤ 2θ ≤ 90°, sorted by position:
| Position (°2θ) | Rel. int. |
| --- | --- |
| 22.2 | 37 |
| 32.3 | 35 |
| 33.1 | 25 |
| 33.5 | 30 |
| 34.0 | 100 |
| 36.7 | 10 |
| 47.8 | 18 |
| 59.7 | 10 |
| 60.2 | 19 |
| 67.4 | 15 |

```
16
Lattice="3.269 0.000 0.000 0.000 24.228 0.000 0.000 0.000 5.354" Properties=species:S:1:pos:R:3 pbc="T T T"
Na 0.000 0.766 1.338
Na 0.000 5.329 4.015
Na 0.000 18.898 1.338
Na 0.000 23.462 4.015
Na 1.635 6.785 1.338
Na 1.635 11.348 4.015
Na 1.635 12.880 1.338
Na 1.635 17.443 4.015
Cd 0.000 3.825 1.338
Cd 0.000 20.403 4.015
Cd 1.635 8.289 4.015
Cd 1.635 15.939 1.338
Sn 0.000 9.802 1.338
Sn 0.000 14.426 4.015
Sn 1.635 2.312 4.015
Sn 1.635 21.916 1.338
```

[3]
For Ta2MnNb5, a crystal structure in Alexandria, relaxed with GGA-PBE gives the computed X-ray diffraction stick pattern in this record (Cu Kα (λ = 1.5418 Å)).
Peak positions follow from Bragg's law for the DFT cell and can differ from measured ones.

Most intense lines, 15° ≤ 2θ ≤ 90°, sorted by position:
| Position (°2θ) | Rel. int. |
| --- | --- |
| 19.2 | 9 |
| 27.3 | 6 |
| 38.9 | 49 |
| 39.1 | 100 |
| 56.2 | 8 |
| 56.3 | 7 |
| 56.8 | 10 |
| 70.7 | 30 |
| 71.0 | 16 |
| 84.0 | 5 |

```
16
Lattice="6.533 0.000 0.000 0.000 13.095 0.000 0.000 0.000 3.243" Properties=species:S:1:pos:R:3 pbc="T T T"
Ta 1.486 1.543 0.000
Ta 1.781 8.091 0.000
Ta 4.753 5.005 0.000
Ta 5.047 11.552 0.000
Mn 0.000 0.000 1.622
Mn 3.267 6.548 1.622
Nb 0.000 6.548 1.622
Nb 0.101 9.813 1.622
Nb 1.620 4.943 0.000
Nb 1.646 11.491 0.000
Nb 3.166 3.265 1.622
Nb 3.267 0.000 1.622
Nb 3.368 9.830 1.622
Nb 4.887 1.605 0.000
Nb 4.913 8.152 0.000
Nb 6.432 3.282 1.622
```

[4]
For Th4P2Se, a crystal structure in Alexandria, relaxed with GGA-PBE gives the computed X-ray diffraction stick pattern in this record (Cu Kα (λ = 1.5418 Å)).
Peak positions follow from Bragg's law for the DFT cell and can differ from measured ones.

Most intense lines, 15° ≤ 2θ ≤ 90°, sorted by position:
| Position (°2θ) | Rel. int. |
| --- | --- |
| 26.6 | 39 |
| 28.9 | 100 |
| 30.3 | 46 |
| 30.4 | 87 |
| 32.4 | 29 |
| 40.1 | 28 |
| 44.6 | 22 |
| 45.4 | 23 |
| 48.0 | 23 |
| 54.7 | 35 |

```
14
Lattice="1.997 -6.859 0.000 1.997 6.859 0.000 0.000 0.000 13.870" Properties=species:S:1:pos:R:3 pbc="T T T"
Th 0.000 0.000 0.000
Th 0.000 0.000 6.935
Th 1.997 3.112 8.640
Th 1.997 3.112 12.165
Th 1.997 0.904 3.467
Th 1.997 -0.904 10.402
Th 1.997 -3.112 1.705
Th 1.997 -3.112 5.230
P 1.997 1.895 0.826
P 1.997 1.895 6.109
P 1.997 -1.895 7.761
P 1.997 -1.895 13.044
Se 1.997 5.479 3.467
Se 1.997 -5.479 10.402
```

[5]
For Cs3Pr2BiTe6, a crystal structure in Alexandria, relaxed with GGA-PBE gives the computed X-ray diffraction stick pattern in this record (Cu Kα (λ = 1.5418 Å)).
Peak positions follow from Bragg's law for the DFT cell and can differ from measured ones.

Most intense lines, 15° ≤ 2θ ≤ 90°, sorted by position:
| Position (°2θ) | Rel. int. |
| --- | --- |
| 25.6 | 100 |
| 32.1 | 10 |
| 34.7 | 34 |
| 38.3 | 38 |
| 40.3 | 9 |
| 46.6 | 20 |
| 52.6 | 10 |
| 56.8 | 11 |
| 61.9 | 17 |
| 66.9 | 10 |

```
12
Lattice="4.071 -7.052 0.000 4.071 7.052 0.000 -2.715 0.000 8.941" Properties=species:S:1:pos:R:3 pbc="T T T"
Cs 0.000 0.000 0.000
Cs 4.071 2.365 0.000
Cs 4.071 -2.365 0.000
Pr 2.714 4.704 4.470
Pr 2.714 -4.704 4.470
Bi 2.714 0.000 4.470
Te 1.370 2.328 2.731
Te 0.027 0.000 6.215
Te 1.370 -2.328 2.731
Te 4.057 2.328 6.210
Te 5.401 0.000 2.725
Te 4.057 -2.328 6.210
```

[6]
For SrCrRh2, a crystal structure in Alexandria, relaxed with GGA-PBE gives the computed X-ray diffraction stick pattern in this record (Cu Kα (λ = 1.5418 Å)).
Peak positions follow from Bragg's law for the DFT cell and can differ from measured ones.

Most intense lines, 15° ≤ 2θ ≤ 90°, sorted by position:
| Position (°2θ) | Rel. int. |
| --- | --- |
| 15.4 | 50 |
| 25.3 | 27 |
| 31.2 | 20 |
| 32.3 | 25 |
| 35.0 | 36 |
| 37.3 | 100 |
| 38.3 | 97 |
| 40.4 | 65 |
| 40.6 | 75 |
| 71.4 | 25 |

```
4
Lattice="3.014 0.000 0.000 0.000 4.462 0.000 -0.540 0.000 5.739" Properties=species:S:1:pos:R:3 pbc="T T T"
Sr 0.000 0.000 0.000
Cr 2.460 2.231 2.383
Rh 1.050 0.000 2.816
Rh 0.964 2.231 4.376
```

[7]
For U3GeC, a crystal structure in Alexandria, relaxed with GGA-PBE gives the computed X-ray diffraction stick pattern in this record (Cu Kα (λ = 1.5418 Å)).
Peak positions follow from Bragg's law for the DFT cell and can differ from measured ones.

Most intense lines, 15° ≤ 2θ ≤ 90°, sorted by position:
| Position (°2θ) | Rel. int. |
| --- | --- |
| 23.4 | 29 |
| 32.8 | 35 |
| 33.8 | 21 |
| 37.7 | 100 |
| 45.2 | 10 |
| 47.8 | 18 |
| 60.4 | 15 |
| 61.8 | 25 |
| 70.5 | 18 |
| 73.5 | 12 |

```
10
Lattice="6.127 0.000 0.000 -3.063 5.306 0.000 0.000 0.000 5.466" Properties=species:S:1:pos:R:3 pbc="T T T"
U 0.000 1.965 1.367
U -1.362 4.324 1.367
U 1.702 0.982 4.100
U 1.362 4.324 1.367
U 4.425 0.982 4.100
U 3.063 3.341 4.100
Ge 0.000 3.537 4.100
Ge 3.063 1.769 1.367
C 0.000 0.000 0.000
C 0.000 0.000 2.733
```